[1]
Theoretical X-ray diffraction stick pattern of Pr2Fe20Si2C for Cu Kα X-rays, from DFT lattice parameters and positions (PBE).
Neutral-atom scattering factors, no anomalous dispersion.

Top 10 peaks for 15° ≤ 2θ ≤ 90°, in order of falling intensity:
2theta, Rel. int.
39.98, 100
39.60, 82
39.86, 81
40.10, 69
39.74, 43
34.90, 39
39.52, 36
43.44, 34
43.29, 32
46.94, 27

Crystal structure
```
Pr2Fe20Si2C
1.0
6.3975 0.0000 0.0000
3.1178 7.1418 0.0000
3.1747 0.0908 7.1670
Pr Fe Si C
2 20 2 1
Direct
0.1299 0.2460 0.2488
0.8701 0.7540 0.7512
0.0000 0.0000 0.0000
0.0582 0.0776 0.6634
0.0661 0.6745 0.0841
0.2257 0.5819 0.3344
0.2387 0.3239 0.5778
0.3171 0.8263 0.4193
0.3219 0.4195 0.8237
0.3527 0.0774 0.8202
0.3609 0.8354 0.0802
0.3778 0.7512 0.7478
0.5000 0.5000 0.0000
0.6222 0.2488 0.2522
0.6391 0.1646 0.9198
0.6473 0.9226 0.1798
0.6781 0.5805 0.1763
0.6829 0.1737 0.5807
0.7613 0.6761 0.4222
0.7743 0.4181 0.6656
0.9339 0.3255 0.9159
0.9418 0.9224 0.3366
0.5000 0.0000 0.5000
0.5000 0.5000 0.5000
0.0000 0.5000 0.0000
```

[2]
Theoretical X-ray diffraction stick pattern of FePtC for Cu Kα X-rays, from DFT lattice parameters and positions (PBE).
Neutral-atom scattering factors, no anomalous dispersion.

Top 10 peaks for 15° ≤ 2θ ≤ 90°, in order of falling intensity:
2theta, Rel. int.
41.63, 100
43.50, 98
40.49, 95
44.15, 81
38.51, 79
32.66, 76
28.24, 59
24.40, 44
36.01, 42
45.85, 40

Crystal structure
```
FePtC
1.0
3.9987 0.0000 0.0000
0.0000 2.6990 0.0000
-1.0645 0.0000 6.5297
Fe Pt C
2 2 2
Direct
0.0000 0.0000 0.0000
0.4630 0.0000 0.7805
0.3542 0.0000 0.3732
0.9266 0.5000 0.6201
0.3671 0.5000 0.1332
0.6128 0.5000 0.9999
```

[3]
Theoretical X-ray diffraction stick pattern of Pu3FeC3 for Cu Kα X-rays, from DFT lattice parameters and positions (PBE).
Neutral-atom scattering factors, no anomalous dispersion.

Top 10 peaks for 15° ≤ 2θ ≤ 90°, in order of falling intensity:
2theta, Rel. int.
33.02, 100
33.84, 84
34.80, 68
37.28, 46
51.91, 38
22.47, 29
22.16, 24
34.16, 22
33.55, 22
34.92, 21

Crystal structure
```
Pu3FeC3
1.0
6.2484 0.0000 0.0000
0.0000 5.1566 0.0000
-0.9964 0.0000 6.3809
Pu Fe C
6 2 6
Direct
0.0699 0.2500 0.3299
0.3177 0.7500 0.0791
0.3718 0.7500 0.6268
0.6282 0.2500 0.3732
0.6823 0.2500 0.9209
0.9301 0.7500 0.6701
0.1942 0.2500 0.8018
0.8058 0.7500 0.1982
0.0858 0.7500 0.3396
0.3290 0.2500 0.0746
0.3863 0.2500 0.6133
0.6137 0.7500 0.3867
0.6710 0.7500 0.9254
0.9142 0.2500 0.6604
```

[4]
Theoretical X-ray diffraction stick pattern of FeRhC for Cu Kα X-rays, from DFT lattice parameters and positions (PBE).
Neutral-atom scattering factors, no anomalous dispersion.

Top 10 peaks for 15° ≤ 2θ ≤ 90°, in order of falling intensity:
2theta, Rel. int.
38.44, 100
34.83, 62
49.89, 52
41.03, 43
55.67, 38
49.04, 27
73.02, 17
78.51, 17
60.34, 14
29.11, 13

Crystal structure
```
FeRhC
1.0
3.1075 -1.3832 0.0000
3.1075 1.3832 0.0000
-2.5078 0.0000 3.7153
Fe Rh C
1 1 1
Direct
0.0000 0.0000 0.0000
0.4977 0.4977 0.5046
0.7378 0.7378 0.0956
```

[5]
Theoretical X-ray diffraction stick pattern of FeRhC for Cu Kα X-rays, from DFT lattice parameters and positions (PBE).
Neutral-atom scattering factors, no anomalous dispersion.

Top 10 peaks for 15° ≤ 2θ ≤ 90°, in order of falling intensity:
2theta, Rel. int.
38.76, 100
45.23, 40
65.48, 25
79.15, 23
44.71, 21
83.16, 12
65.89, 12
31.56, 12
78.39, 12
21.92, 5

Crystal structure
```
FeRhC
1.0
2.8351 0.0000 0.0000
0.0000 2.8351 0.0000
0.0000 0.0000 4.0541
Fe Rh C
1 1 1
Direct
0.0000 0.0000 0.0000
0.5000 0.5000 0.5000
0.5000 0.5000 0.0000
```

[6]
Theoretical X-ray diffraction stick pattern of ZnFeRh2C for Cu Kα X-rays, from DFT lattice parameters and positions (PBE).
Neutral-atom scattering factors, no anomalous dispersion.

Top 10 peaks for 15° ≤ 2θ ≤ 90°, in order of falling intensity:
2theta, Rel. int.
39.34, 100
44.53, 39
78.52, 25
67.62, 21
48.09, 15
64.81, 12
84.63, 11
83.72, 11
23.51, 8
31.08, 4

Crystal structure
```
ZnFeRh2C
1.0
4.0690 0.0000 0.0000
0.0000 4.0690 0.0000
0.0000 0.0000 3.7840
Zn Fe Rh C
1 1 2 1
Direct
0.0000 0.0000 0.0000
0.5000 0.5000 0.0000
0.0000 0.5000 0.5000
0.5000 0.0000 0.5000
0.5000 0.5000 0.5000
```